Calculated XRD peak list
Compound: YS
Radiation: Cu Kα (λ = 1.5418 Å)
Structure: a structure optimized by DFT (GGA-PBE)
No peak broadening, texture or thermal motion is included.

Crystal structure
```
YS
1.0
0.000 2.771 2.771
2.771 0.000 2.771
2.771 2.771 0.000
Y S
1 1
Direct
0.000 0.000 0.000
0.500 0.500 0.500
```

The 6 most intense peaks (2θ = 5–70°), sorted by position:
3.199 Å, 27.9 deg, I = 41
2.771 Å, 32.3 deg, I = 100
1.959 Å, 46.3 deg, I = 69
1.671 Å, 55.0 deg, I = 20
1.600 Å, 57.6 deg, I = 23
1.385 Å, 67.6 deg, I = 11

***

Calculated XRD peak list
Compound: YS2
Radiation: Cu Kα (λ = 1.5418 Å)
Structure: a structure optimized by DFT (GGA-PBE)
No peak broadening, texture or thermal motion is included.

Crystal structure
```
YS2
1.0
0.000 3.915 3.915
3.915 0.000 3.915
3.915 3.915 0.000
Y S
2 4
Direct
0.125 0.125 0.125
0.875 0.875 0.875
0.000 0.500 0.500
0.500 0.000 0.500
0.500 0.500 0.000
0.500 0.500 0.500
```

The 9 most intense peaks (2θ = 5–70°), sorted by position:
4.520 Å, 19.6 deg, I = 17
2.768 Å, 32.3 deg, I = 70
2.361 Å, 38.1 deg, I = 100
2.260 Å, 39.9 deg, I = 13
1.957 Å, 46.4 deg, I = 1
1.796 Å, 50.8 deg, I = 5
1.598 Å, 57.7 deg, I = 25
1.507 Å, 61.5 deg, I = 30
1.384 Å, 67.7 deg, I = 22

***

Calculated XRD peak list
Compound: Y2S3
Radiation: Cu Kα (λ = 1.5418 Å)
Structure: a structure optimized by DFT (GGA-PBE)
No peak broadening, texture or thermal motion is included.

Crystal structure
```
Y2S3
1.0
10.693 0.000 0.000
0.000 3.887 0.000
0.000 0.000 10.512
Y S
8 12
Direct
0.008 0.250 0.187
0.192 0.250 0.505
0.308 0.750 0.005
0.492 0.750 0.687
0.508 0.250 0.313
0.692 0.250 0.995
0.808 0.750 0.495
0.992 0.750 0.813
0.045 0.750 0.373
0.120 0.250 0.946
0.229 0.750 0.697
0.271 0.250 0.197
0.380 0.750 0.446
0.455 0.250 0.873
0.545 0.750 0.127
0.620 0.250 0.554
0.729 0.750 0.803
0.771 0.250 0.303
0.880 0.750 0.054
0.955 0.250 0.627
```

The 10 most intense peaks (2θ = 5–70°), sorted by position:
3.748 Å, 23.7 deg, I = 100
3.646 Å, 24.4 deg, I = 52
3.376 Å, 26.4 deg, I = 49
3.000 Å, 29.8 deg, I = 66
2.698 Å, 33.2 deg, I = 58
2.549 Å, 35.2 deg, I = 47
2.529 Å, 35.5 deg, I = 79
2.350 Å, 38.3 deg, I = 52
2.156 Å, 41.9 deg, I = 47
1.943 Å, 46.7 deg, I = 55